For Ce2ThSc8, a DFT-relaxed cell (PBE, Alexandria) gives the simulated powder XRD pattern in this record (Cu Kα (λ = 1.5418 Å)).

Cell and atoms:
```
data_Ce2ThSc8
_chemical_formula_sum 'Ce2 Th1 Sc8'
_space_group_name_H-M_alt 'P -3 m 1'
_space_group_IT_number 164
_space_group_name_Hall '-P 3 2"'
_cell_length_a 6.3816
_cell_length_b 6.3816
_cell_length_c 8.2134
_cell_angle_alpha 90.00
_cell_angle_beta 90.00
_cell_angle_gamma 120.00
loop_
_atom_site_label
_atom_site_fract_x
_atom_site_fract_y
_atom_site_fract_z
Ce1 0.3333 0.6667 0.3441
Th1 0.0000 0.0000 0.0000
Sc1 0.1661 0.3322 0.6668
Sc2 0.3333 0.6667 0.9962
```

Top 10 peaks for 10 to 80 degrees two-theta, by intensity:
two_theta	intensity	hkl
19.36	100	0 1 1
34.24	94	2 0 1
27.96	75	1 1 0
39.30	66	0 2 2
32.71	49	0 0 3
43.56	45	1 1 3
27.05	44	1 0 2
68.01	33	2 2 3
57.79	28	2 2 0
44.77	25	1 2 1

***

For La2Tb15Pm2, a DFT-relaxed cell (PBE, Alexandria) gives the simulated powder XRD pattern in this record (Cu Kα (λ = 1.5418 Å)).

Cell and atoms:
```
data_La2Tb15Pm2
_chemical_formula_sum 'La6 Tb45 Pm6'
_space_group_name_H-M_alt 'R -3 m'
_space_group_IT_number 166
_space_group_name_Hall '-R 3 2"'
_cell_length_a 11.3320
_cell_length_b 11.3320
_cell_length_c 17.5583
_cell_angle_alpha 90.00
_cell_angle_beta 90.00
_cell_angle_gamma 120.00
loop_
_atom_site_label
_atom_site_fract_x
_atom_site_fract_y
_atom_site_fract_z
La1 0.0000 0.0000 0.1197
Tb1 0.0000 0.3031 0.0000
Tb2 0.0000 0.5000 0.5000
Tb3 0.0161 0.5081 0.1391
Pm1 0.0000 0.0000 0.3334
```

Top 10 peaks for 10 to 80 degrees two-theta, by intensity:
two_theta	intensity	hkl
31.33	100	0 3 3
35.19	63	2 2 3
27.26	47	0 2 4
31.58	46	2 2 0
56.24	33	6 0 0
30.55	28	0 0 6
54.79	19	0 3 9
65.94	13	4 4 0
65.36	13	0 6 6
50.80	12	3 3 3

***

For NdSm7Er3, a DFT-relaxed cell (PBE, Alexandria) gives the simulated powder XRD pattern in this record (Cu Kα (λ = 1.5418 Å)).

Cell and atoms:
```
data_NdSm7Er3
_chemical_formula_sum 'Nd1 Sm7 Er3'
_space_group_name_H-M_alt 'P -1'
_space_group_IT_number 2
_cell_length_a 6.543
_cell_length_b 6.729
_cell_length_c 8.711
_cell_angle_alpha 99.66
_cell_angle_beta 98.96
_cell_angle_gamma 95.72
loop_
_space_group_symop_operation_xyz
'x,y,z'
'-x,-y,-z'
loop_
_atom_site_label
_atom_site_fract_x
_atom_site_fract_y
_atom_site_fract_z
Nd1 0.000 0.000 0.000
Sm1 0.000 0.500 0.000
Sm2 0.053 0.210 0.641
Sm3 0.222 0.722 0.711
Sm4 0.485 0.239 0.913
Er1 0.310 0.433 0.339
Er2 0.500 0.000 0.500
```

Top 10 peaks for 10 to 80 degrees two-theta, by intensity:
two_theta	intensity	hkl
31.71	100	-1 2 1
32.11	83	2 -1 1
31.93	77	2 0 -2
31.39	59	1 2 -1
33.03	43	1 1 2
31.19	27	0 2 -2
27.15	26	0 1 2
31.55	22	2 0 1
32.38	20	1 0 -3
34.34	19	1 -2 2

***

For Ac2Mg5Zn5, a DFT-relaxed cell (PBE, Alexandria) gives the simulated powder XRD pattern in this record (Cu Kα (λ = 1.5418 Å)).

Cell and atoms:
```
data_Ac2Mg5Zn5
_chemical_formula_sum 'Ac2 Mg5 Zn5'
_space_group_name_H-M_alt 'P m m m'
_space_group_IT_number 47
_cell_length_a 4.558
_cell_length_b 6.075
_cell_length_c 9.938
_cell_angle_alpha 90.00
_cell_angle_beta 90.00
_cell_angle_gamma 90.00
loop_
_space_group_symop_operation_xyz
'x,y,z'
'-x,-y,-z'
'-x,-y,z'
'x,y,-z'
'x,-y,-z'
'-x,y,z'
'-x,y,-z'
'x,-y,z'
loop_
_atom_site_label
_atom_site_fract_x
_atom_site_fract_y
_atom_site_fract_z
Ac1 0.000 0.000 0.000
Ac2 0.000 0.500 0.500
Mg1 0.500 0.000 0.500
Mg2 0.500 0.253 0.241
Zn1 0.000 0.000 0.334
Zn2 0.000 0.500 0.149
Zn3 0.500 0.500 0.000
```

Top 10 peaks for 10 to 80 degrees two-theta, by intensity:
two_theta	intensity	hkl
36.65	100	1 1 3
26.03	52	1 1 1
19.48	49	1 0 0
30.74	46	0 1 3
35.51	44	1 2 0
29.40	35	0 2 0
57.00	28	1 3 3
39.54	26	2 0 0
34.61	24	0 2 2
50.91	23	2 1 3

***

For Lu3Tl2Cu5Se8, a DFT-relaxed cell (PBE, Alexandria) gives the simulated powder XRD pattern in this record (Cu Kα (λ = 1.5418 Å)).

Cell and atoms:
```
data_Lu3Tl2Cu5Se8
_chemical_formula_sum 'Lu6 Tl4 Cu10 Se16'
_space_group_name_H-M_alt 'C 1 m 1'
_space_group_IT_number 8
_cell_length_a 14.326
_cell_length_b 4.073
_cell_length_c 14.718
_cell_angle_alpha 90.00
_cell_angle_beta 110.46
_cell_angle_gamma 90.00
loop_
_space_group_symop_operation_xyz
'x,y,z'
'x,-y,z'
'x+1/2,y+1/2,z'
'x+1/2,-y+1/2,z'
loop_
_atom_site_label
_atom_site_fract_x
_atom_site_fract_y
_atom_site_fract_z
Lu1 0.000 0.000 0.000
Lu2 0.134 0.000 0.385
Lu3 0.333 0.500 0.616
Tl1 0.154 0.000 0.794
Tl2 0.309 0.500 0.200
Cu1 0.027 0.500 0.191
Cu2 0.082 0.500 0.535
Cu3 0.284 0.500 0.966
Cu4 0.386 0.000 0.464
Cu5 0.450 0.000 0.811
Se1 0.109 0.500 0.952
Se2 0.124 0.000 0.194
Se3 0.184 0.000 0.587
Se4 0.284 0.500 0.415
Se5 0.352 0.500 0.814
Se6 0.377 0.000 0.044
Se7 0.475 0.000 0.644
Se8 0.492 0.000 0.357
```

Top 10 peaks for 10 to 80 degrees two-theta, by intensity:
two_theta	intensity	hkl
29.66	100	3 1 0
32.46	67	0 0 5
44.48	62	0 2 0
35.21	40	3 1 2
38.41	40	5 1 -2
49.82	40	3 1 5
28.81	39	3 1 -1
40.27	37	6 0 0
31.45	34	3 1 -3
56.14	33	0 2 5

***

For CsAcCdI6, a DFT-relaxed cell (PBE, Alexandria) gives the simulated powder XRD pattern in this record (Cu Kα (λ = 1.5418 Å)).

Cell and atoms:
```
data_CsAcCdI6
_chemical_formula_sum 'Cs2 Ac2 Cd2 I12'
_space_group_name_H-M_alt 'P -3 1 c'
_space_group_IT_number 163
_space_group_name_Hall '-P 3 2c'
_cell_length_a 8.1804
_cell_length_b 8.1804
_cell_length_c 17.1735
_cell_angle_alpha 90.00
_cell_angle_beta 90.00
_cell_angle_gamma 120.00
loop_
_atom_site_label
_atom_site_fract_x
_atom_site_fract_y
_atom_site_fract_z
Cs1 0.0000 0.0000 0.0000
Ac1 0.3333 0.6667 0.2500
Cd1 0.3333 0.6667 0.7500
I1 0.0213 0.3827 0.6434
```

Top 10 peaks for 10 to 80 degrees two-theta, by intensity:
two_theta	intensity	hkl
30.18	100	1 1 4
24.10	95	1 1 2
16.22	67	1 0 2
38.11	44	3 0 0
10.30	41	0 0 2
38.38	31	2 -1 6
35.11	28	2 1 2
49.36	20	4 -2 4
47.47	17	4 -1 2
64.01	16	4 1 4

***

For Ce3ZnGe6Ru2, a DFT-relaxed cell (PBE, Alexandria) gives the simulated powder XRD pattern in this record (Cu Kα (λ = 1.5418 Å)).

Cell and atoms:
```
data_Ce3ZnGe6Ru2
_chemical_formula_sum 'Ce3 Zn1 Ge6 Ru2'
_space_group_name_H-M_alt 'P -3 m 1'
_space_group_IT_number 164
_space_group_name_Hall '-P 3 2"'
_cell_length_a 6.2500
_cell_length_b 6.2500
_cell_length_c 7.3087
_cell_angle_alpha 90.00
_cell_angle_beta 90.00
_cell_angle_gamma 120.00
loop_
_atom_site_label
_atom_site_fract_x
_atom_site_fract_y
_atom_site_fract_z
Ce1 0.0000 0.0000 0.0000
Ce2 0.3333 0.6667 0.6825
Zn1 0.0000 0.0000 0.5000
Ge1 0.1946 0.3893 0.2875
Ru1 0.3333 0.6667 0.9955
```

Top 10 peaks for 10 to 80 degrees two-theta, by intensity:
two_theta	intensity	hkl
35.37	100	0 2 1
28.56	96	1 1 0
41.52	51	2 0 2
59.13	35	2 2 0
36.90	33	0 0 3
47.31	30	1 1 3
37.88	29	1 1 2
29.49	27	0 1 2
50.40	22	0 2 3
71.77	21	2 2 3

***

For RbCaTlSiTeF, a DFT-relaxed cell (PBE, Alexandria) gives the simulated powder XRD pattern in this record (Cu Kα (λ = 1.5418 Å)).

Cell and atoms:
```
data_RbCaTlSiTeF
_chemical_formula_sum 'Rb2 Ca2 Tl2 Si2 Te2 F2'
_space_group_name_H-M_alt 'C 1 m 1'
_space_group_IT_number 8
_cell_length_a 13.230
_cell_length_b 3.720
_cell_length_c 9.148
_cell_angle_alpha 90.00
_cell_angle_beta 114.31
_cell_angle_gamma 90.00
loop_
_space_group_symop_operation_xyz
'x,y,z'
'x,-y,z'
'x+1/2,y+1/2,z'
'x+1/2,-y+1/2,z'
loop_
_atom_site_label
_atom_site_fract_x
_atom_site_fract_y
_atom_site_fract_z
Rb1 0.000 0.000 0.000
Ca1 0.083 0.000 0.444
Tl1 0.349 0.000 0.577
Si1 0.068 0.500 0.703
Te1 0.218 0.000 0.848
F1 0.050 0.500 0.283
```

Top 10 peaks for 10 to 80 degrees two-theta, by intensity:
two_theta	intensity	hkl
10.61	100	0 0 1
28.48	85	1 1 1
25.05	58	1 1 0
29.33	48	2 0 -3
27.00	42	4 0 -1
33.85	41	3 1 -2
21.45	40	2 0 1
20.31	29	2 0 -2
42.16	27	5 1 -1
38.63	25	1 1 -3

***

For Li2Ni12As7, a DFT-relaxed cell (PBE, Alexandria) gives the simulated powder XRD pattern in this record (Cu Kα (λ = 1.5418 Å)).

Cell and atoms:
```
data_Li2Ni12As7
_chemical_formula_sum 'Li2 Ni12 As7'
_space_group_name_H-M_alt 'P -6'
_space_group_IT_number 174
_cell_length_a 9.3740
_cell_length_b 9.3740
_cell_length_c 3.6969
_cell_angle_alpha 90.00
_cell_angle_beta 90.00
_cell_angle_gamma 120.00
loop_
_space_group_symop_operation_xyz
'x,y,z'
'-x+y,-x,-z'
'-y,x-y,z'
'x,y,-z'
'-x+y,-x,z'
'-y,x-y,-z'
loop_
_atom_site_label
_atom_site_fract_x
_atom_site_fract_y
_atom_site_fract_z
Li1 0.0000 0.0000 0.0000
Li2 0.3333 0.6667 0.5000
Ni1 0.0489 0.7681 0.5000
Ni2 0.0930 0.3789 0.0000
Ni3 0.4524 0.2422 0.0000
Ni4 0.5066 0.0530 0.5000
As1 0.0835 0.6284 0.0000
As2 0.2504 0.0460 0.5000
As3 0.6667 0.3333 0.5000
```

Top 10 peaks for 10 to 80 degrees two-theta, by intensity:
two_theta	intensity	hkl
38.11	100	1 2 1
47.27	72	3 1 1
51.59	39	4 1 0
49.30	38	0 0 2
18.93	38	1 1 0
10.90	31	1 0 0
41.35	28	3 0 1
26.49	28	1 0 1
51.36	26	4 0 1
74.14	26	4 1 2

***

For CdIr2Br, a DFT-relaxed cell (PBE, Alexandria) gives the simulated powder XRD pattern in this record (Cu Kα (λ = 1.5418 Å)).

Cell and atoms:
```
data_CdIr2Br
_chemical_formula_sum 'Cd1 Ir2 Br1'
_space_group_name_H-M_alt 'P 1 m 1'
_space_group_IT_number 6
_cell_length_a 2.879
_cell_length_b 3.606
_cell_length_c 7.648
_cell_angle_alpha 90.00
_cell_angle_beta 90.31
_cell_angle_gamma 90.00
loop_
_space_group_symop_operation_xyz
'x,y,z'
'x,-y,z'
loop_
_atom_site_label
_atom_site_fract_x
_atom_site_fract_y
_atom_site_fract_z
Cd1 0.000 0.000 0.000
Ir1 0.005 0.000 0.395
Ir2 0.503 0.500 0.229
Br1 0.009 0.500 0.647
```

Top 10 peaks for 10 to 80 degrees two-theta, by intensity:
two_theta	intensity	hkl
11.57	100	0 0 1
34.18	63	0 1 2
41.85	42	1 1 -1
40.07	30	1 1 0
43.47	25	0 1 3
50.63	15	0 2 0
47.52	15	1 0 -3
39.06	12	1 0 -2
39.27	12	1 0 2
47.78	11	1 0 3

***

For NaHg3Bi3, a DFT-relaxed cell (PBE, Alexandria) gives the simulated powder XRD pattern in this record (Cu Kα (λ = 1.5418 Å)).

Cell and atoms:
```
data_NaHg3Bi3
_chemical_formula_sum 'Na2 Hg6 Bi6'
_space_group_name_H-M_alt 'P m -3 n'
_space_group_IT_number 223
_space_group_name_Hall '-P 4n 2 3'
_cell_length_a 8.305
_cell_length_b 8.305
_cell_length_c 8.305
_cell_angle_alpha 90.00
_cell_angle_beta 90.00
_cell_angle_gamma 90.00
loop_
_atom_site_label
_atom_site_fract_x
_atom_site_fract_y
_atom_site_fract_z
Na1 0.000 0.000 0.000
Hg1 0.000 0.250 0.500
Bi1 0.000 0.500 0.250
```

Top 10 peaks for 10 to 80 degrees two-theta, by intensity:
two_theta	intensity	hkl
15.09	100	1 1 0
37.51	74	2 2 2
26.29	72	2 1 1
40.65	46	3 2 1
43.59	40	4 0 0
76.01	30	6 2 2
21.40	29	2 0 0
34.14	29	3 1 0
63.35	27	4 4 0
56.50	21	5 1 0

***

For CaCrPd, a DFT-relaxed cell (PBE, Alexandria) gives the simulated powder XRD pattern in this record (Cu Kα (λ = 1.5418 Å)).

Cell and atoms:
```
data_CaCrPd
_chemical_formula_sum 'Ca4 Cr4 Pd4'
_space_group_name_H-M_alt 'I m m 2'
_space_group_IT_number 44
_cell_length_a 4.500
_cell_length_b 7.283
_cell_length_c 7.603
_cell_angle_alpha 90.00
_cell_angle_beta 90.00
_cell_angle_gamma 90.00
loop_
_space_group_symop_operation_xyz
'x,y,z'
'-x,-y,z'
'-x,y,z'
'x,-y,z'
'x+1/2,y+1/2,z+1/2'
'-x+1/2,-y+1/2,z+1/2'
'-x+1/2,y+1/2,z+1/2'
'x+1/2,-y+1/2,z+1/2'
loop_
_atom_site_label
_atom_site_fract_x
_atom_site_fract_y
_atom_site_fract_z
Ca1 0.000 0.000 0.000
Ca2 0.000 0.500 0.127
Cr1 0.000 0.342 0.728
Pd1 0.000 0.192 0.409
```

Top 10 peaks for 10 to 80 degrees two-theta, by intensity:
two_theta	intensity	hkl
33.79	100	1 2 1
40.86	78	1 0 3
33.21	77	1 1 2
38.94	59	0 3 1
40.07	55	2 0 0
22.97	50	1 0 1
16.86	41	0 1 1
57.11	37	2 3 1
48.90	34	1 3 2
34.09	33	0 2 2

***

For TbInTe4, a DFT-relaxed cell (PBE, Alexandria) gives the simulated powder XRD pattern in this record (Cu Kα (λ = 1.5418 Å)).

Cell and atoms:
```
data_TbInTe4
_chemical_formula_sum 'Tb2 In2 Te8'
_space_group_name_H-M_alt 'P 1 21/m 1'
_space_group_IT_number 11
_cell_length_a 6.243
_cell_length_b 10.046
_cell_length_c 7.942
_cell_angle_alpha 90.00
_cell_angle_beta 112.96
_cell_angle_gamma 90.00
loop_
_space_group_symop_operation_xyz
'x,y,z'
'-x,-y,-z'
'-x,y+1/2,-z'
'x,-y+1/2,z'
loop_
_atom_site_label
_atom_site_fract_x
_atom_site_fract_y
_atom_site_fract_z
Tb1 0.090 0.250 0.186
In1 0.085 0.750 0.354
Te1 0.218 0.555 0.136
Te2 0.336 0.250 0.605
Te3 0.352 0.750 0.730
```

Top 10 peaks for 10 to 80 degrees two-theta, by intensity:
two_theta	intensity	hkl
33.81	100	2 2 -1
17.66	79	0 2 0
15.44	71	1 0 -1
36.38	65	0 3 2
21.46	58	0 2 1
29.30	51	0 3 1
35.75	40	0 4 0
32.47	38	2 1 -2
37.84	37	2 0 1
23.18	37	1 0 -2